Structure and computed powder diffractogram of NaCo4BiO12 (a PBE+U-relaxed structure; Cu Kα (λ = 1.5418 Å)).
Peak positions follow from Bragg's law for the DFT cell and can differ from measured ones.

The 6 most intense peaks (2θ from 10° to 80°), by intensity:
20.95°, I = 100, hkl 1 1 1; 16.91°, I = 52, hkl 0 1 1; 35.56°, I = 49, hkl 2 2 0; 12.27°, I = 48, hkl 1 0 0; 34.21°, I = 42, hkl 0 2 2; 33.83°, I = 41, hkl 2 0 2

abc: 7.2127 7.0712 7.8121
angles: 90.00 90.00 90.00
Space group Amm2 (No. 38)
Inequivalent atoms, fractional coordinates:
Na1 0.0000 0.0000 0.0000 (multiplicity 2)
Co1 0.2442 0.2453 0.2646 (multiplicity 8)
Bi1 0.5000 0.0000 0.5178 (multiplicity 2)
O1 0.0000 0.1848 0.7679 (multiplicity 4)
O2 0.1824 0.0000 0.2288 (multiplicity 4)
O3 0.2707 0.2103 0.5063 (multiplicity 8)
O4 0.3271 0.0000 0.7688 (multiplicity 4)
O5 0.5000 0.1712 0.2639 (multiplicity 4)